[1]
Calculated X-ray powder pattern
Compound: ReRu2AuS
Radiation: Cu Kα, 1.54184 Å
Structure: a cell relaxed with GGA-PBE

Largest 8 diffraction maxima, in order of rising 2θ, 2θ from 10° to 90°:
h k l  two_theta  d (Å)  I (rel.)
1 0 1  27.51  3.242  100
1 1 1  33.37  2.685  33
2 0 0  37.54  2.396  71
0 0 2  41.00  2.202  28
2 1 1  47.17  1.927  48
2 2 0  54.14  1.694  25
2 0 2  56.79  1.621  43
2 2 2  70.09  1.343  23

Structural model:
```
data_ReRu2AuS
_space_group_name_H-M_alt 'P 4/m m m'
_space_group_IT_number 123
_space_group_name_Hall '-P 4 2'
_cell_length_a 4.7914
_cell_length_b 4.7914
_cell_length_c 4.4031
_cell_angle_alpha 90.00
_cell_angle_beta 90.00
_cell_angle_gamma 90.00
loop_
_atom_site_label
_atom_site_fract_x
_atom_site_fract_y
_atom_site_fract_z
_atom_site_occupancy
Re1 0.0000 0.0000 0.0000 1
Ru1 0.0000 0.5000 0.0000 1
Au1 0.5000 0.5000 0.5000 1
S1 0.0000 0.0000 0.5000 1
```

[2]
Calculated X-ray powder pattern
Compound: PmTlPd6
Radiation: Cu Kα, 1.54184 Å
Structure: a cell relaxed with GGA-PBE

Largest 8 diffraction maxima, in order of rising 2θ, 2θ from 10° to 90°:
h k l  two_theta  d (Å)  I (rel.)
1 1 2  37.64  2.390  100
2 0 0  43.70  2.072  33
0 0 4  43.83  2.066  16
2 2 0  63.51  1.465  11
2 0 4  63.61  1.463  21
3 1 2  76.24  1.249  25
1 1 6  76.43  1.246  12
2 2 4  80.36  1.195  11

Structural model:
```
data_PmTlPd6
_space_group_name_H-M_alt 'P 4/m m m'
_space_group_IT_number 123
_space_group_name_Hall '-P 4 2'
_cell_length_a 4.1430
_cell_length_b 4.1430
_cell_length_c 8.2621
_cell_angle_alpha 90.00
_cell_angle_beta 90.00
_cell_angle_gamma 90.00
loop_
_atom_site_label
_atom_site_fract_x
_atom_site_fract_y
_atom_site_fract_z
_atom_site_occupancy
Pm1 0.0000 0.0000 0.0000 1
Tl1 0.0000 0.0000 0.5000 1
Pd1 0.0000 0.5000 0.2565 1
Pd2 0.5000 0.5000 0.0000 1
Pd3 0.5000 0.5000 0.5000 1
```

[3]
Calculated X-ray powder pattern
Compound: Ho2Tm2Zr
Radiation: Cu Kα, 1.54184 Å
Structure: a cell relaxed with GGA-PBE

Largest 8 diffraction maxima, in order of rising 2θ, 2θ from 10° to 90°:
h k l  two_theta  d (Å)  I (rel.)
1 1 1  15.46  5.733  94
1 1 5  26.28  3.391  90
2 2 0  29.94  2.985  59
2 2 2  31.20  2.867  61
1 1 7  33.96  2.640  100
0 0 8  34.76  2.581  45
1 3 3  35.69  2.516  60
3 1 3  36.50  2.461  56

Structural model:
```
data_Ho2Tm2Zr
_space_group_name_H-M_alt 'F d d d'
_space_group_IT_number 70
_cell_length_a 8.3121
_cell_length_b 8.5774
_cell_length_c 20.6020
_cell_angle_alpha 90.00
_cell_angle_beta 90.00
_cell_angle_gamma 90.00
loop_
_space_group_symop_operation_xyz
'x,y,z'
'-x,-y,-z'
'-x+1/4,-y+1/4,z'
'x+1/4,y+1/4,-z'
'x,-y+1/4,-z+1/4'
'-x,y+1/4,z+1/4'
'-x+1/4,y,-z+1/4'
'x+1/4,-y,z+1/4'
'x,y+1/2,z+1/2'
'-x,-y+1/2,-z+1/2'
'-x+1/4,-y+3/4,z+1/2'
'x+1/4,y+3/4,-z+1/2'
'x,-y+3/4,-z+3/4'
'-x,y+3/4,z+3/4'
'-x+1/4,y+1/2,-z+3/4'
'x+1/4,-y+1/2,z+3/4'
'x+1/2,y,z+1/2'
'-x+1/2,-y,-z+1/2'
'-x+3/4,-y+1/4,z+1/2'
'x+3/4,y+1/4,-z+1/2'
'x+1/2,-y+1/4,-z+3/4'
'-x+1/2,y+1/4,z+3/4'
'-x+3/4,y,-z+3/4'
'x+3/4,-y,z+3/4'
'x+1/2,y+1/2,z'
'-x+1/2,-y+1/2,-z'
'-x+3/4,-y+3/4,z'
'x+3/4,y+3/4,-z'
'x+1/2,-y+3/4,-z+1/4'
'-x+1/2,y+3/4,z+1/4'
'-x+3/4,y+1/2,-z+1/4'
'x+3/4,-y+1/2,z+1/4'
loop_
_atom_site_label
_atom_site_fract_x
_atom_site_fract_y
_atom_site_fract_z
_atom_site_occupancy
Ho1 0.0000 0.0000 0.0000 1
Tm1 0.1250 0.1250 0.4133 1
Zr1 0.1250 0.1250 0.1250 1
```

[4]
Calculated X-ray powder pattern
Compound: AcCd7
Radiation: Cu Kα, 1.54184 Å
Structure: a cell relaxed with GGA-PBE

Largest 8 diffraction maxima, in order of rising 2θ, 2θ from 10° to 90°:
h k l  two_theta  d (Å)  I (rel.)
1 1 1  27.80  3.209  21
0 2 1  30.79  2.904  100
2 0 1  31.10  2.875  45
4 0 -1  31.32  2.856  45
4 2 0  38.53  2.336  72
1 3 -1  38.68  2.328  26
2 0 -2  41.12  2.195  40
2 2 2  57.44  1.604  22

Structural model:
```
data_AcCd7
_space_group_name_H-M_alt 'C 1 2/m 1'
_space_group_IT_number 12
_space_group_name_Hall '-C 2y'
_cell_length_a 12.1398
_cell_length_b 8.2368
_cell_length_c 4.3906
_cell_angle_alpha 90.00
_cell_angle_beta 110.81
_cell_angle_gamma 90.00
loop_
_atom_site_label
_atom_site_fract_x
_atom_site_fract_y
_atom_site_fract_z
_atom_site_occupancy
Ac1 0.0000 0.0000 0.0000 1
Cd1 0.0000 0.5000 0.0000 1
Cd2 0.1346 0.3105 0.6346 1
Cd3 0.2428 0.0000 0.7435 1
```

[5]
Calculated X-ray powder pattern
Compound: NbCd2Au2
Radiation: Cu Kα, 1.54184 Å
Structure: a cell relaxed with GGA-PBE

Largest 8 diffraction maxima, in order of rising 2θ, 2θ from 10° to 90°:
h k l  two_theta  d (Å)  I (rel.)
1 1 0  16.02  5.531  18
3 1 0  36.32  2.474  47
2 1 1  38.03  2.366  100
4 0 0  46.43  1.956  11
3 2 1  50.78  1.798  11
4 4 0  67.72  1.384  13
3 1 2  69.81  1.347  14
5 2 1  71.24  1.324  19

Structural model:
```
data_NbCd2Au2
_space_group_name_H-M_alt 'P 4/m b m'
_space_group_IT_number 127
_space_group_name_Hall '-P 4 2ab'
_cell_length_a 7.8224
_cell_length_b 7.8224
_cell_length_c 3.2129
_cell_angle_alpha 90.00
_cell_angle_beta 90.00
_cell_angle_gamma 90.00
loop_
_atom_site_label
_atom_site_fract_x
_atom_site_fract_y
_atom_site_fract_z
_atom_site_occupancy
Nb1 0.0000 0.0000 0.0000 1
Cd1 0.1676 0.3324 0.5000 1
Au1 0.1327 0.6327 0.0000 1
```

[6]
Calculated X-ray powder pattern
Compound: AcZr3O8
Radiation: Cu Kα, 1.54184 Å
Structure: a cell relaxed with GGA-PBE

Largest 8 diffraction maxima, in order of rising 2θ, 2θ from 10° to 90°:
h k l  two_theta  d (Å)  I (rel.)
1 0 0  16.67  5.319  80
1 0 1  21.11  4.209  67
1 1 0  29.08  3.071  100
1 0 2  30.94  2.890  90
1 1 1  31.91  2.805  22
0 2 2  42.96  2.105  68
2 1 2  52.72  1.736  52
1 1 4  61.77  1.502  22

Structural model:
```
data_AcZr3O8
_space_group_name_H-M_alt 'P -3 m 1'
_space_group_IT_number 164
_space_group_name_Hall '-P 3 2"'
_cell_length_a 6.1413
_cell_length_b 6.1413
_cell_length_c 6.8868
_cell_angle_alpha 90.00
_cell_angle_beta 90.00
_cell_angle_gamma 120.00
loop_
_atom_site_label
_atom_site_fract_x
_atom_site_fract_y
_atom_site_fract_z
_atom_site_occupancy
Ac1 0.0000 0.0000 0.0000 1
Zr1 0.0000 0.0000 0.5000 1
Zr2 0.3333 0.6667 0.7669 1
O1 0.1499 0.2998 0.7013 1
O2 0.3333 0.6667 0.0472 1
```

[7]
Calculated X-ray powder pattern
Compound: DyTh2Bi2
Radiation: Cu Kα, 1.54184 Å
Structure: a cell relaxed with GGA-PBE

Largest 8 diffraction maxima, in order of rising 2θ, 2θ from 10° to 90°:
h k l  two_theta  d (Å)  I (rel.)
1 1 1  24.10  3.692  49
0 2 1  30.47  2.934  100
2 0 -2  30.71  2.911  82
2 0 1  31.66  2.826  39
1 1 2  32.59  2.747  47
0 2 2  36.59  2.456  39
2 2 -1  38.93  2.313  77
0 2 5  67.05  1.396  31

Structural model:
```
data_DyTh2Bi2
_space_group_name_H-M_alt 'C 1 2/m 1'
_space_group_IT_number 12
_space_group_name_Hall '-C 2y'
_cell_length_a 6.8901
_cell_length_b 6.3373
_cell_length_c 8.0187
_cell_angle_alpha 90.00
_cell_angle_beta 104.24
_cell_angle_gamma 90.00
loop_
_atom_site_label
_atom_site_fract_x
_atom_site_fract_y
_atom_site_fract_z
_atom_site_occupancy
Dy1 0.0000 0.0000 0.0000 1
Th1 0.0000 0.2489 0.5000 1
Bi1 0.1546 0.5000 0.1925 1
```

[8]
Calculated X-ray powder pattern
Compound: Nd2Sm3Er3
Radiation: Cu Kα, 1.54184 Å
Structure: a cell relaxed with GGA-PBE

Largest 8 diffraction maxima, in order of rising 2θ, 2θ from 10° to 90°:
h k l  two_theta  d (Å)  I (rel.)
1 1 4  30.46  2.935  100
2 0 0  35.27  2.545  34
0 0 8  35.39  2.536  17
2 2 0  50.77  1.798  24
2 0 8  50.85  1.796  12
3 1 4  60.34  1.534  29
1 1 12  60.50  1.530  14
2 2 8  63.38  1.468  12

Structural model:
```
data_Nd2Sm3Er3
_space_group_name_H-M_alt 'I m m m'
_space_group_IT_number 71
_space_group_name_Hall '-I 2 2'
_cell_length_a 5.0863
_cell_length_b 5.0926
_cell_length_c 20.2882
_cell_angle_alpha 90.00
_cell_angle_beta 90.00
_cell_angle_gamma 90.00
loop_
_atom_site_label
_atom_site_fract_x
_atom_site_fract_y
_atom_site_fract_z
_atom_site_occupancy
Nd1 0.0000 0.0000 0.2498 1
Sm1 0.0000 0.0000 0.0000 1
Sm2 0.0000 0.5000 0.1228 1
Er1 0.0000 0.0000 0.5000 1
Er2 0.0000 0.5000 0.3764 1
```

[9]
Calculated X-ray powder pattern
Compound: ErAl2AgAu4
Radiation: Cu Kα, 1.54184 Å
Structure: a cell relaxed with GGA-PBE

Largest 8 diffraction maxima, in order of rising 2θ, 2θ from 10° to 90°:
h k l  two_theta  d (Å)  I (rel.)
0 1 2  23.83  3.735  28
1 0 4  26.69  3.340  39
0 1 8  36.10  2.488  100
1 1 0  40.03  2.252  94
1 0 10  41.93  2.155  28
2 0 8  54.99  1.670  32
1 2 8  70.16  1.341  30
3 0 0  72.72  1.300  16

Structural model:
```
data_ErAl2AgAu4
_space_group_name_H-M_alt 'R -3 m'
_space_group_IT_number 166
_space_group_name_Hall '-R 3 2"'
_cell_length_a 4.5048
_cell_length_b 4.5048
_cell_length_c 25.8455
_cell_angle_alpha 90.00
_cell_angle_beta 90.00
_cell_angle_gamma 120.00
loop_
_atom_site_label
_atom_site_fract_x
_atom_site_fract_y
_atom_site_fract_z
_atom_site_occupancy
Er1 0.0000 0.0000 0.0000 1
Al1 0.0000 0.0000 0.2423 1
Ag1 0.0000 0.0000 0.5000 1
Au1 0.0000 0.0000 0.1214 1
Au2 0.0000 0.0000 0.3900 1
```

[10]
Calculated X-ray powder pattern
Compound: SrAl12Ag4
Radiation: Cu Kα, 1.54184 Å
Structure: a cell relaxed with GGA-PBE

Largest 8 diffraction maxima, in order of rising 2θ, 2θ from 10° to 90°:
h k l  two_theta  d (Å)  I (rel.)
2 0 0  19.66  4.516  51
2 2 0  27.94  3.193  100
3 0 1  31.32  2.856  32
2 2 2  34.39  2.607  18
3 1 2  37.25  2.414  19
4 0 2  44.88  2.020  47
4 2 2  49.43  1.844  62
6 2 0  65.34  1.428  23

Structural model:
```
data_SrAl12Ag4
_space_group_name_H-M_alt 'I m -3'
_space_group_IT_number 204
_space_group_name_Hall '-I 2 2 3'
_cell_length_a 9.0325
_cell_length_b 9.0325
_cell_length_c 9.0325
_cell_angle_alpha 90.00
_cell_angle_beta 90.00
_cell_angle_gamma 90.00
loop_
_atom_site_label
_atom_site_fract_x
_atom_site_fract_y
_atom_site_fract_z
_atom_site_occupancy
Sr1 0.0000 0.0000 0.0000 1
Al1 0.0000 0.3537 0.1528 1
Ag1 0.2500 0.2500 0.2500 1
```